This entry pairs a crystal structure of BaCd9Au2 with its computed XRD peak list. Radiation: Cu Kα, 1.54184 Å. Structure: a crystal structure in Alexandria, relaxed with PBE.

Main lines, sorted by position (2θ from 10° to 80°):
2θ (°)  I/Imax  hkl
13.58  300  1 0 1
29.11  404  3 2 1
32.96  710  3 1 2
33.27  528  4 2 0
35.50  354  1 0 3
38.62  355  2 1 3
39.17  1000  5 0 1
40.79  609  4 2 2
59.26  229  5 5 2
69.87  194  8 4 0

a = 12.042 Å, b = 12.042 Å, c = 7.759 Å
α = 90.00°, β = 90.00°, γ = 90.00°
Space group I4_1/amd (No. 141, origin choice 2)
Inequivalent atoms, fractional coordinates:
Ba1 0.000 0.250 0.375 (multiplicity 4)
Cd1 0.000 0.250 0.875 (multiplicity 4)
Cd2 0.121 0.048 0.681 (multiplicity 32)
Au1 0.000 0.000 0.000 (multiplicity 8)